# Nd3SmCd3
Calculated XRD peak list, Cu Kα (weighted mean of Kα1 and Kα2). Input: the GGA-PBE geometry in Alexandria.

Main lines, sorted by position (15 to 90 degrees two-theta):
hkl 0 4 0, d = 2.737 Å, I = 28; hkl 4 0 0, d = 2.713 Å, I = 26; hkl 2 2 2, d = 2.644 Å, I = 100; hkl 4 4 0, d = 1.927 Å, I = 19; hkl 2 6 2, d = 1.562 Å, I = 19; hkl 6 2 2, d = 1.553 Å, I = 18; hkl 0 4 4, d = 1.514 Å, I = 9; hkl 4 4 4, d = 1.322 Å, I = 11

Structure:
```
data_Nd3SmCd3
_chemical_formula_sum 'Nd12 Sm4 Cd12'
_cell_length_a 10.852
_cell_length_b 10.950
_cell_length_c 7.270
_cell_angle_alpha 90.00
_cell_angle_beta 90.00
_cell_angle_gamma 90.00
_space_group_name_H-M_alt 'C m m m'
_space_group_IT_number 65
_space_group_name_Hall '-C 2 2'
loop_
_atom_site_label
_atom_site_fract_x
_atom_site_fract_y
_atom_site_fract_z
Nd1 0.000 0.244 0.000
Nd2 0.239 0.000 0.500
Nd3 0.240 0.000 0.000
Sm1 0.000 0.245 0.500
Cd1 0.000 0.500 0.253
Cd2 0.250 0.250 0.253
```


# ThH2Pb
Calculated XRD peak list, Cu Kα (weighted mean of Kα1 and Kα2). Input: the GGA-PBE geometry in Alexandria.

Main lines, sorted by position (15 to 90 degrees two-theta):
hkl 0 2 0, d = 3.210 Å, I = 48; hkl 1 0 1, d = 3.163 Å, I = 26; hkl 1 1 1, d = 2.838 Å, I = 100; hkl 0 1 2, d = 2.703 Å, I = 50; hkl 1 2 1, d = 2.253 Å, I = 21; hkl 1 3 1, d = 1.773 Å, I = 26; hkl 1 2 3, d = 1.539 Å, I = 22; hkl 2 1 2, d = 1.536 Å, I = 19

Structure:
```
data_ThH2Pb
_chemical_formula_sum 'Th2 H4 Pb2'
_cell_length_a 3.733
_cell_length_b 6.420
_cell_length_c 5.959
_cell_angle_alpha 90.00
_cell_angle_beta 90.00
_cell_angle_gamma 90.00
_space_group_name_H-M_alt 'P m m n'
_space_group_IT_number 59
loop_
_space_group_symop_operation_xyz
'x,y,z'
'-x,-y,-z'
'-x+1/2,-y+1/2,z'
'x+1/2,y+1/2,-z'
'x+1/2,-y,-z'
'-x+1/2,y,z'
'-x,y+1/2,-z'
'x,-y+1/2,z'
loop_
_atom_site_label
_atom_site_fract_x
_atom_site_fract_y
_atom_site_fract_z
Th1 0.250 0.250 0.098
H1 0.250 0.551 0.907
Pb1 0.250 0.750 0.420
```


# Rb3Ge2AuI9
Calculated XRD peak list, Cu Kα (weighted mean of Kα1 and Kα2). Input: the GGA-PBE geometry in Alexandria.

Main lines, sorted by position (15 to 90 degrees two-theta):
hkl 1 0 1, d = 5.890 Å, I = 40; hkl 0 0 3, d = 3.401 Å, I = 71; hkl 2 0 2, d = 2.945 Å, I = 100; hkl 2 2 0, d = 2.082 Å, I = 73; hkl 2 0 5, d = 1.776 Å, I = 32; hkl 0 4 2, d = 1.700 Å, I = 26; hkl 4 2 2, d = 1.317 Å, I = 33; hkl 6 0 0, d = 1.202 Å, I = 25

Structure:
```
data_Rb3Ge2AuI9
_chemical_formula_sum 'Rb3 Ge2 Au1 I9'
_cell_length_a 8.3312
_cell_length_b 8.3312
_cell_length_c 10.1982
_cell_angle_alpha 90.00
_cell_angle_beta 90.00
_cell_angle_gamma 120.00
_space_group_name_H-M_alt 'P -3 m 1'
_space_group_IT_number 164
_space_group_name_Hall '-P 3 2"'
loop_
_atom_site_label
_atom_site_fract_x
_atom_site_fract_y
_atom_site_fract_z
Rb1 0.0000 0.0000 0.0000
Rb2 0.3333 0.6667 0.6682
Ge1 0.3333 0.6667 0.1750
Au1 0.0000 0.0000 0.5000
I1 0.0000 0.5000 0.0000
I2 0.1663 0.3326 0.3330
```


# Nd2Y4H
Calculated XRD peak list, Cu Kα (weighted mean of Kα1 and Kα2). Input: the GGA-PBE geometry in Alexandria.

Main lines, sorted by position (15 to 90 degrees two-theta):
hkl 1 1 0, d = 3.458 Å, I = 25; hkl 1 1 2, d = 3.215 Å, I = 50; hkl 0 0 6, d = 2.909 Å, I = 28; hkl 1 1 4, d = 2.710 Å, I = 100; hkl 2 0 0, d = 2.445 Å, I = 49; hkl 2 0 6, d = 1.872 Å, I = 31; hkl 1 1 10, d = 1.558 Å, I = 24; hkl 3 1 4, d = 1.458 Å, I = 29

Structure:
```
data_Nd2Y4H
_chemical_formula_sum 'Nd4 Y8 H2'
_cell_length_a 4.890
_cell_length_b 4.890
_cell_length_c 17.452
_cell_angle_alpha 90.00
_cell_angle_beta 90.00
_cell_angle_gamma 90.00
_space_group_name_H-M_alt 'I 4/m m m'
_space_group_IT_number 139
_space_group_name_Hall '-I 4 2'
loop_
_atom_site_label
_atom_site_fract_x
_atom_site_fract_y
_atom_site_fract_z
Nd1 0.000 0.000 0.148
Y1 0.000 0.000 0.349
Y2 0.000 0.500 0.000
H1 0.000 0.000 0.500
```


# Ce2CuGe4Pd3
Calculated XRD peak list, Cu Kα (weighted mean of Kα1 and Kα2). Input: the GGA-PBE geometry in Alexandria.

Main lines, sorted by position (15 to 90 degrees two-theta):
hkl 1 0 3, d = 2.664 Å, I = 73; hkl 1 1 2, d = 2.617 Å, I = 100; hkl 2 0 0, d = 2.159 Å, I = 70; hkl 1 0 5, d = 1.838 Å, I = 29; hkl 2 1 3, d = 1.677 Å, I = 36; hkl 2 2 0, d = 1.527 Å, I = 23; hkl 2 1 5, d = 1.399 Å, I = 23; hkl 3 1 2, d = 1.319 Å, I = 23

Structure:
```
data_Ce2CuGe4Pd3
_chemical_formula_sum 'Ce2 Cu1 Ge4 Pd3'
_cell_length_a 4.318
_cell_length_b 4.318
_cell_length_c 10.153
_cell_angle_alpha 90.00
_cell_angle_beta 90.00
_cell_angle_gamma 90.00
_space_group_name_H-M_alt 'P -4 m 2'
_space_group_IT_number 115
loop_
_space_group_symop_operation_xyz
'x,y,z'
'y,-x,-z'
'-x,-y,z'
'-y,x,-z'
'-x,y,z'
'-y,-x,-z'
'x,-y,z'
'y,x,-z'
loop_
_atom_site_label
_atom_site_fract_x
_atom_site_fract_y
_atom_site_fract_z
Ce1 0.000 0.500 0.246
Cu1 0.500 0.500 0.000
Ge1 0.000 0.000 0.500
Ge2 0.000 0.500 0.871
Ge3 0.500 0.500 0.500
Pd1 0.000 0.000 0.000
Pd2 0.000 0.500 0.629
```


Please write out number 5 again, unchanged.
# Ce2CuGe4Pd3
Calculated XRD peak list, Cu Kα (weighted mean of Kα1 and Kα2). Input: the GGA-PBE geometry in Alexandria.

Main lines, sorted by position (15 to 90 degrees two-theta):
hkl 1 0 3, d = 2.664 Å, I = 73; hkl 1 1 2, d = 2.617 Å, I = 100; hkl 2 0 0, d = 2.159 Å, I = 70; hkl 1 0 5, d = 1.838 Å, I = 29; hkl 2 1 3, d = 1.677 Å, I = 36; hkl 2 2 0, d = 1.527 Å, I = 23; hkl 2 1 5, d = 1.399 Å, I = 23; hkl 3 1 2, d = 1.319 Å, I = 23

Structure:
```
data_Ce2CuGe4Pd3
_chemical_formula_sum 'Ce2 Cu1 Ge4 Pd3'
_cell_length_a 4.318
_cell_length_b 4.318
_cell_length_c 10.153
_cell_angle_alpha 90.00
_cell_angle_beta 90.00
_cell_angle_gamma 90.00
_space_group_name_H-M_alt 'P -4 m 2'
_space_group_IT_number 115
loop_
_space_group_symop_operation_xyz
'x,y,z'
'y,-x,-z'
'-x,-y,z'
'-y,x,-z'
'-x,y,z'
'-y,-x,-z'
'x,-y,z'
'y,x,-z'
loop_
_atom_site_label
_atom_site_fract_x
_atom_site_fract_y
_atom_site_fract_z
Ce1 0.000 0.500 0.246
Cu1 0.500 0.500 0.000
Ge1 0.000 0.000 0.500
Ge2 0.000 0.500 0.871
Ge3 0.500 0.500 0.500
Pd1 0.000 0.000 0.000
Pd2 0.000 0.500 0.629
```